Diffraction record for PuS2O12. The PXRD pattern is simulated, not measured: it uses the GGA-PBE geometry in the Materials Project and Cu Kα, 1.54184 Å.
Neutral-atom scattering factors, no anomalous dispersion.

Top 10 peaks for 10° ≤ 2θ ≤ 80°, in order of rising 2θ:
index  d/Å  I (rel.)
0 0 4  6.595  72
0 2 2  6.178  45
1 1 1  5.178  45
1 1 3  4.527  100
0 2 6  3.724  53
0 4 0  3.496  33
1 3 3  3.339  40
1 1 7  3.068  27
2 2 4  2.451  27
0 6 6  2.060  23

a b c (Å): 5.7024 13.9836 26.3818
angles (deg): 90.00 90.00 90.00
Space group Fddd (No. 70, origin choice 2)
Inequivalent atoms, fractional coordinates:
Pu  0.1250  0.1250  0.1250 (multiplicity 8)
S  0.1250  0.1250  0.4321 (multiplicity 16)
O  0.0762  0.3597  0.7167 (multiplicity 32)
O  0.0883  0.3538  0.3260 (multiplicity 32)
O  0.0911  0.0410  0.8513 (multiplicity 32)


Diffraction record for Cs2NaSbF6. The PXRD pattern is simulated, not measured: it uses the GGA-PBE geometry in the Materials Project and Cu Kα, 1.54184 Å.
Neutral-atom scattering factors, no anomalous dispersion.

Top 10 peaks for 10° ≤ 2θ ≤ 80°, in order of rising 2θ:
index  d/Å  I (rel.)
1 1 1  5.349  18
2 2 0  3.275  100
3 1 1  2.793  9
2 2 2  2.674  16
4 0 0  2.316  39
4 2 2  1.891  42
4 4 0  1.638  25
6 2 0  1.465  19
4 4 4  1.337  8
6 4 2  1.238  22

a b c (Å): 9.2641 9.2641 9.2641
angles (deg): 90.00 90.00 90.00
Space group Fm-3m (No. 225)
Inequivalent atoms, fractional coordinates:
Cs  0.2500  0.2500  0.2500 (multiplicity 8)
Na  0.0000  0.0000  0.0000 (multiplicity 4)
Sb  0.0000  0.0000  0.5000 (multiplicity 4)
F  0.0000  0.0000  0.2598 (multiplicity 24)


Diffraction record for PrGe2Pt. The PXRD pattern is simulated, not measured: it uses the GGA-PBE geometry in the Materials Project and Cu Kα, 1.54184 Å.
Neutral-atom scattering factors, no anomalous dispersion.

Top 10 peaks for 10° ≤ 2θ ≤ 80°, in order of rising 2θ:
index  d/Å  I (rel.)
0 2 0  4.448  18
1 2 3  2.741  100
1 0 5  2.673  40
0 2 6  2.359  31
2 0 0  2.230  37
0 4 0  2.224  19
1 4 3  1.874  20
2 2 6  1.621  20
3 2 3  1.367  19
1 6 3  1.364  17

a b c (Å): 4.4602 8.8959 16.6969
angles (deg): 90.00 90.00 90.00
Space group Immm (No. 71)
Inequivalent atoms, fractional coordinates:
Pr  0.0000  0.0000  0.2034 (multiplicity 4)
Pr  0.0000  0.2380  0.0000 (multiplicity 4)
Ge  0.0000  0.0000  0.4256 (multiplicity 4)
Ge  0.0000  0.3485  0.1990 (multiplicity 8)
Ge  0.0000  0.5000  0.4253 (multiplicity 4)
Pt  0.0000  0.2470  0.3508 (multiplicity 8)